Record 1
Starting from a cell relaxed with PBE, the powder diffraction line list of Sm3Mg3Tl2Au was simulated for copper Kα.

Most intense lines, 10° ≤ 2θ ≤ 90°, by angle:
2θ (°)	d/Å	I_rel
23.31	3.816	56
23.64	3.764	35
30.49	2.932	70
33.44	2.680	100
39.35	2.290	29
40.96	2.203	41
41.16	2.193	42
46.24	1.963	19
58.10	1.588	29
64.76	1.440	27

Cell lengths 7.633, 7.633, 4.579 Å; angles 90.00, 90.00, 120.00 degrees
Positions (direct):
Sm: 0.000 0.406 0.000
Sm: 0.406 0.000 0.000
Sm: 0.594 0.594 0.000
Mg: 0.000 0.765 0.500
Mg: 0.235 0.235 0.500
Mg: 0.765 0.000 0.500
Tl: 0.333 0.667 0.500
Tl: 0.667 0.333 0.500
Au: 0.000 0.000 0.000

=====

Record 2
Starting from a cell relaxed with PBE, the powder diffraction line list of YSi2Au was simulated for copper Kα.

Most intense lines, 10° ≤ 2θ ≤ 90°, by angle:
2θ (°)	d/Å	I_rel
22.60	3.935	63
26.15	3.408	12
37.32	2.410	100
44.07	2.055	35
53.80	1.704	17
59.08	1.564	15
67.30	1.391	35
72.00	1.312	11
79.57	1.205	11
84.01	1.152	11

Cell lengths 6.815, 6.815, 6.815 Å; angles 90.00, 90.00, 90.00 degrees
Positions (direct):
Y: 0.000 0.000 0.000
Y: 0.000 0.500 0.500
Y: 0.500 0.000 0.500
Y: 0.500 0.500 0.000
Si: 0.000 0.000 0.500
Si: 0.000 0.500 0.000
Si: 0.250 0.250 0.250
Si: 0.250 0.750 0.750
Si: 0.500 0.000 0.000
Si: 0.500 0.500 0.500
Si: 0.750 0.250 0.750
Si: 0.750 0.750 0.250
Au: 0.250 0.250 0.750
Au: 0.250 0.750 0.250
Au: 0.750 0.250 0.250
Au: 0.750 0.750 0.750